Li3Np4O12: simulated powder X-ray diffraction pattern (a wavelength of 1.5418 Å), based on the PBE geometry in Alexandria.
Peak positions follow from Bragg's law for the DFT cell and can differ from measured ones.

Crystal structure
abc: 6.947 6.947 6.947
angles: 109.47 109.47 109.47
Fractional positions:
Li: 0.000 0.500 0.500
Li: 0.500 0.000 0.500
Li: 0.500 0.500 0.000
Np: 0.000 0.000 0.500
Np: 0.000 0.500 0.000
Np: 0.500 0.000 0.000
Np: 0.500 0.500 0.500
O: 0.124 0.813 0.310
O: 0.187 0.310 0.497
O: 0.187 0.690 0.876
O: 0.310 0.124 0.813
O: 0.310 0.497 0.187
O: 0.497 0.187 0.310
O: 0.503 0.813 0.690
O: 0.690 0.503 0.813
O: 0.690 0.876 0.187
O: 0.813 0.310 0.124
O: 0.813 0.690 0.503
O: 0.876 0.187 0.690

Principal peaks in the range 2θ = 10–80°, in order of rising 2θ:
d (Å)	I (rel.)
4.011	100
2.836	73
2.316	24
2.006	18
1.794	47
1.638	36
1.418	11
1.337	20
1.268	14
1.209	13